# 1
Theoretical powder diffraction line list
Compound: H5RhPb2
Radiation: Cu Kα
Structure: DFT lattice parameters and positions (PBE)
Intensities are scaled so that the largest is 100.

Principal peaks in the range 15° ≤ 2θ ≤ 90°, most intense first:
2θ (°)	d_spacing	I_rel
33.60	2.667	100
34.35	2.611	47
24.10	3.692	39
61.04	1.518	37
23.06	3.857	21
41.78	2.162	21
59.61	1.551	19
49.37	1.846	18
20.54	4.324	16
70.64	1.333	12

Cell and atoms:
Cell lengths 5.339, 5.339, 5.339 Å; angles 121.51, 121.39, 87.51 degrees
Fractional positions:
H1 0.000 0.000 0.000
H2 0.534 0.534 0.544
H3 0.534 0.991 0.001
H4 0.990 0.534 0.999
H5 0.990 0.991 0.456
Rh1 0.777 0.777 0.000
Pb1 0.010 0.510 0.500
Pb2 0.510 0.010 0.500

=====

# 2
Theoretical powder diffraction line list
Compound: H2RhPb
Radiation: Cu Kα
Structure: DFT lattice parameters and positions (PBE)
Intensities are scaled so that the largest is 100.

Principal peaks in the range 15° ≤ 2θ ≤ 90°, most intense first:
2θ (°)	d_spacing	I_rel
34.96	2.566	100
38.02	2.367	48
19.79	4.485	32
36.34	2.472	31
30.61	2.921	21
41.70	2.166	20
62.09	1.495	20
64.49	1.445	17
74.11	1.279	13
68.29	1.373	12

Cell and atoms:
Cell lengths 5.186, 5.186, 5.186 Å; angles 123.05, 95.11, 111.44 degrees
Fractional positions:
H1 0.000 0.000 0.000
H2 0.000 0.500 0.500
H3 0.637 0.525 0.612
H4 0.912 0.025 0.388
Rh1 0.235 0.314 0.422
Rh2 0.892 0.814 0.578
Pb1 0.276 0.665 0.110
Pb2 0.555 0.165 0.890

=====

# 3
Theoretical powder diffraction line list
Compound: H4Rh2Pb
Radiation: Cu Kα
Structure: DFT lattice parameters and positions (PBE)
Intensities are scaled so that the largest is 100.

Principal peaks in the range 15° ≤ 2θ ≤ 90°, most intense first:
2θ (°)	d_spacing	I_rel
32.49	2.756	100
32.06	2.791	65
36.31	2.474	63
32.37	2.766	61
33.23	2.696	59
31.36	2.852	58
26.60	3.352	57
39.76	2.267	56
41.39	2.181	46
20.04	4.431	37

Cell and atoms:
Cell lengths 5.935, 5.935, 5.252 Å; angles 105.96, 105.96, 113.97 degrees
Fractional positions:
H1 0.021 0.243 0.714
H2 0.056 0.944 0.500
H3 0.243 0.021 0.214
H4 0.259 0.492 0.306
H5 0.492 0.259 0.806
H6 0.573 0.923 0.530
H7 0.923 0.573 0.030
H8 0.944 0.056 0.000
Rh1 0.103 0.227 0.408
Rh2 0.212 0.764 0.354
Rh3 0.227 0.103 0.908
Rh4 0.764 0.212 0.854
Pb1 0.459 0.744 0.951
Pb2 0.744 0.459 0.451